This entry pairs a crystal structure of K2Re3C2Se5N2 with its computed powder XRD pattern. Radiation: Cu Ka. Structure: a structure optimized by DFT (GGA-PBE).
Intensities are scaled so that the largest is 100.

Top 10 peaks for 15 to 90 degrees two-theta, by intensity:
42.2 deg, intensity 100, hkl 3 3 -5
39.2 deg, intensity 88, hkl 2 4 -4
34.2 deg, intensity 63, hkl 2 4 0
16.5 deg, intensity 55, hkl 0 0 2
42.6 deg, intensity 51, hkl 0 1 5
41.8 deg, intensity 47, hkl 3 4 -4
51.0 deg, intensity 47, hkl 0 0 6
40.9 deg, intensity 46, hkl 2 3 -5
39.9 deg, intensity 41, hkl 3 2 1
48.6 deg, intensity 41, hkl 1 7 0

Atomic structure:
Lattice parameters (Å, degrees): 9.820 13.467 12.665 90.00 122.01 90.00
Positions (direct):
K  0.103  0.165  0.015
K  0.103  0.335  0.515
K  0.283  0.562  0.350
K  0.283  0.938  0.850
K  0.717  0.062  0.150
K  0.717  0.438  0.650
K  0.897  0.665  0.485
K  0.897  0.835  0.985
Re  0.316  0.530  0.005
Re  0.316  0.970  0.505
Re  0.381  0.518  0.826
Re  0.381  0.982  0.326
Re  0.445  0.135  0.479
Re  0.445  0.365  0.979
Re  0.555  0.635  0.021
Re  0.555  0.865  0.521
Re  0.619  0.018  0.674
Re  0.619  0.482  0.174
Re  0.684  0.030  0.495
Re  0.684  0.470  0.995
C  0.253  0.544  0.635
C  0.253  0.956  0.135
C  0.389  0.214  0.958
C  0.389  0.286  0.458
C  0.611  0.714  0.542
C  0.611  0.786  0.042
C  0.747  0.044  0.865
C  0.747  0.456  0.365
Se  0.073  0.577  0.021
Se  0.073  0.923  0.521
Se  0.157  0.085  0.317
Se  0.157  0.415  0.817
Se  0.262  0.675  0.859
Se  0.262  0.825  0.359
Se  0.383  0.118  0.650
Se  0.383  0.382  0.150
Se  0.492  0.642  0.192
Se  0.492  0.858  0.692
Se  0.508  0.142  0.308
Se  0.508  0.358  0.808
Se  0.617  0.618  0.850
Se  0.617  0.882  0.350
Se  0.738  0.175  0.641
Se  0.738  0.325  0.141
Se  0.843  0.585  0.183
Se  0.843  0.915  0.683
Se  0.927  0.077  0.479
Se  0.927  0.423  0.979
N  0.179  0.559  0.526
N  0.179  0.941  0.026
N  0.360  0.128  0.951
N  0.360  0.372  0.451
N  0.640  0.628  0.549
N  0.640  0.872  0.049
N  0.821  0.059  0.974
N  0.821  0.441  0.474